[1]
Structure and computed X-ray diffraction stick pattern of Na3Hf3TiTe8 (a PBE-relaxed structure; λ = 1.5418 Å (Cu Kα)).

Peak list (10 most intense, 10° ≤ 2θ ≤ 90°, in order of rising 2θ)
two_theta  intensity
11.2  60.2
29.7  100.0
37.0  19.3
39.9  39.3
45.0  33.2
46.5  11.1
49.7  12.5
54.8  17.6
66.3  13.9
73.5  14.5

Atomic structure:
```
15
Lattice="6.9815 -4.0330 0.0000 6.9815 4.0330 0.0000 -4.6525 0.0000 7.8989" Properties=species:S:1:pos:R:3 pbc="T T T"
Na 0.0000 0.0000 0.0000
Na 3.4907 2.0165 0.0000
Na 3.4907 -2.0165 0.0000
Hf 1.1645 2.0165 3.9495
Hf 1.1645 -2.0165 3.9495
Hf 4.6552 0.0000 3.9495
Ti -2.3263 0.0000 3.9495
Te -0.0248 0.0000 5.6633
Te 3.5017 2.0362 5.6647
Te 5.8088 2.0362 2.2343
Te 2.3318 0.0000 2.1993
Te 6.9787 0.0000 5.6996
Te 3.5017 -2.0362 5.6647
Te 5.8088 -2.0362 2.2343
Te 9.3353 0.0000 2.2356
```

=====

[2]
Structure and computed X-ray diffraction stick pattern of NaHfTl (a PBE-relaxed structure; λ = 1.5418 Å (Cu Kα)).

Peak list (10 most intense, 10° ≤ 2θ ≤ 90°, in order of rising 2θ)
two_theta  intensity
11.0  24.1
32.3  100.0
33.4  36.6
34.4  90.1
36.2  27.2
39.5  81.2
54.9  35.8
59.1  25.8
65.8  31.2
69.5  19.4

Atomic structure:
```
6
Lattice="1.6710 0.9648 16.1136 -1.6710 0.9648 16.1136 0.0000 -1.9295 16.1136" Properties=species:S:1:pos:R:3 pbc="T T T"
Na 0.0000 0.0000 0.0000
Na 0.0000 0.0000 12.9796
Hf 0.0000 0.0000 7.6655
Hf 0.0000 0.0000 37.5720
Tl 0.0000 0.0000 18.8423
Tl 0.0000 0.0000 26.3912
```

=====

[3]
Structure and computed X-ray diffraction stick pattern of NaHfZn17 (a PBE-relaxed structure; λ = 1.5418 Å (Cu Kα)).

Peak list (10 most intense, 10° ≤ 2θ ≤ 90°, in order of rising 2θ)
two_theta  intensity
13.3  30.0
35.0  35.7
35.9  23.0
40.6  53.2
40.8  100.0
41.2  33.2
41.6  24.8
45.8  50.4
73.9  19.4
74.8  19.9

Atomic structure:
```
19
Lattice="4.4449 2.5663 4.3788 -4.4449 2.5663 4.3788 0.0000 -5.1326 4.3788" Properties=species:S:1:pos:R:3 pbc="T T T"
Na 0.0000 0.0000 0.0000
Hf 0.0000 0.0000 4.3325
Zn 0.0000 -2.3536 2.3058
Zn -2.0383 1.1768 2.3058
Zn -2.2716 -1.3115 6.5041
Zn 0.0000 -2.5414 6.2700
Zn -2.2009 1.2707 6.2700
Zn -1.3368 -2.3326 8.6832
Zn -2.6885 0.0086 8.6832
Zn 2.0383 1.1768 2.3058
Zn 0.0000 0.0000 7.3012
Zn 1.3368 -2.3326 8.6832
Zn -1.3517 2.3240 8.6832
Zn 2.2716 -1.3115 6.5041
Zn 0.0000 2.6230 6.5041
Zn 0.0000 0.0000 9.9394
Zn 2.2009 1.2707 6.2700
Zn 2.6885 0.0086 8.6832
Zn 1.3517 2.3240 8.6832
```

=====

[4]
Structure and computed X-ray diffraction stick pattern of Hf5Nb2 (a PBE-relaxed structure; λ = 1.5418 Å (Cu Kα)).

Peak list (10 most intense, 10° ≤ 2θ ≤ 90°, in order of rising 2θ)
two_theta  intensity
31.7  16.0
35.7  100.0
38.6  46.1
46.8  7.7
55.7  16.0
56.6  9.9
62.2  13.2
67.9  30.8
72.0  8.5
75.6  7.5

Atomic structure:
```
14
Lattice="3.3023 0.0000 0.0000 0.0000 3.3023 0.0000 0.0000 0.0000 27.1638" Properties=species:S:1:pos:R:3 pbc="T T T"
Hf 0.0000 0.0000 0.0000
Hf 0.0000 0.0000 4.1970
Hf 0.0000 0.0000 11.4843
Hf 0.0000 0.0000 15.6795
Hf 0.0000 0.0000 22.9669
Hf 1.6511 1.6511 2.0976
Hf 1.6511 1.6511 9.3849
Hf 1.6511 1.6511 13.5819
Hf 1.6511 1.6511 17.7789
Hf 1.6511 1.6511 25.0662
Nb 0.0000 0.0000 7.5515
Nb 0.0000 0.0000 19.6123
Nb 1.6511 1.6511 6.0304
Nb 1.6511 1.6511 21.1334
```

=====

[5]
Structure and computed X-ray diffraction stick pattern of HfNbNi14 (a PBE-relaxed structure; λ = 1.5418 Å (Cu Kα)).

Peak list (10 most intense, 10° ≤ 2θ ≤ 90°, in order of rising 2θ)
two_theta  intensity
12.4  3.9
24.5  3.2
27.5  4.9
37.2  3.6
43.3  100.0
50.2  32.2
51.1  14.7
73.7  9.5
74.4  17.8
89.5  22.7

Atomic structure:
```
16
Lattice="5.1430 0.0000 0.0000 0.0000 5.1430 0.0000 0.0000 0.0000 7.1493" Properties=species:S:1:pos:R:3 pbc="T T T"
Hf 0.0000 0.0000 0.0000
Nb 2.5715 2.5715 0.0000
Ni 0.0000 0.0000 3.5747
Ni 0.0000 2.5715 0.0000
Ni 0.0000 2.5715 3.5747
Ni 1.2972 1.2972 1.8699
Ni 1.2972 1.2972 5.2794
Ni 1.2972 3.8458 1.8699
Ni 1.2972 3.8458 5.2794
Ni 2.5715 0.0000 0.0000
Ni 2.5715 0.0000 3.5747
Ni 2.5715 2.5715 3.5747
Ni 3.8458 1.2972 1.8699
Ni 3.8458 1.2972 5.2794
Ni 3.8458 3.8458 1.8699
Ni 3.8458 3.8458 5.2794
```

=====

[6]
Structure and computed X-ray diffraction stick pattern of HfNbNi6 (a PBE-relaxed structure; λ = 1.5418 Å (Cu Kα)).

Peak list (10 most intense, 10° ≤ 2θ ≤ 90°, in order of rising 2θ)
two_theta  intensity
19.7  9.2
28.6  20.8
40.0  25.2
41.8  28.3
45.4  100.0
59.2  15.2
72.6  15.1
78.9  18.2
87.5  18.4
89.9  13.1

Atomic structure:
```
8
Lattice="5.2094 0.0000 0.0000 -2.6047 4.5115 0.0000 0.0000 0.0000 4.3187" Properties=species:S:1:pos:R:3 pbc="T T T"
Hf 0.0000 0.0000 0.0000
Nb 2.6047 1.5038 2.1594
Ni -1.2685 2.2753 0.0000
Ni 0.0000 1.5756 2.1594
Ni -1.2402 3.7237 2.1594
Ni 1.2685 2.2753 0.0000
Ni 0.0000 4.4725 0.0000
Ni 1.2402 3.7237 2.1594
```

=====

[7]
Structure and computed X-ray diffraction stick pattern of Hf2ScNbNi (a PBE-relaxed structure; λ = 1.5418 Å (Cu Kα)).

Peak list (10 most intense, 10° ≤ 2θ ≤ 90°, in order of rising 2θ)
two_theta  intensity
17.6  21.7
19.2  71.6
31.6  100.0
35.5  85.0
38.9  33.1
40.7  43.1
51.1  29.8
53.7  51.4
61.4  29.7
66.1  27.2

Atomic structure:
```
5
Lattice="5.0511 0.0000 0.0000 0.0000 5.0511 0.0000 0.0000 0.0000 4.6297" Properties=species:S:1:pos:R:3 pbc="T T T"
Hf 0.0000 2.5256 0.0000
Hf 2.5256 0.0000 0.0000
Sc 0.0000 0.0000 2.3148
Nb 2.5256 2.5256 0.0000
Ni 2.5256 2.5256 2.3148
```

=====

[8]
Structure and computed X-ray diffraction stick pattern of SrHfNbSnO6 (a PBE-relaxed structure; λ = 1.5418 Å (Cu Kα)).

Peak list (10 most intense, 10° ≤ 2θ ≤ 90°, in order of rising 2θ)
two_theta  intensity
18.7  7.5
21.6  6.0
30.7  100.0
36.2  4.9
44.0  30.8
54.6  40.9
63.9  19.2
72.6  17.9
80.9  6.5
88.9  22.4

Atomic structure:
```
10
Lattice="0.0000 4.1180 4.1180 4.1180 0.0000 4.1180 4.1180 4.1180 0.0000" Properties=species:S:1:pos:R:3 pbc="T T T"
Sr 0.0000 0.0000 0.0000
Hf 6.1770 6.1770 6.1770
Nb 2.0590 2.0590 2.0590
Sn 4.1180 4.1180 4.1180
O 2.0590 2.0590 0.0188
O 2.0590 0.0188 2.0590
O 4.0992 2.0590 2.0590
O 0.0188 2.0590 2.0590
O 2.0590 4.0992 2.0590
O 2.0590 2.0590 4.0992
```

=====

[9]
Structure and computed X-ray diffraction stick pattern of Hf6NbOs (a PBE-relaxed structure; λ = 1.5418 Å (Cu Kα)).

Peak list (10 most intense, 10° ≤ 2θ ≤ 90°, in order of rising 2θ)
two_theta  intensity
29.3  4.6
36.5  100.0
37.9  49.3
50.5  7.7
54.7  17.3
64.9  14.5
67.5  8.5
67.6  25.2
77.7  8.7
81.0  5.6

Atomic structure:
```
16
Lattice="15.2028 0.0000 0.0000 0.0000 4.7480 0.0000 -1.4781 0.0000 4.5122" Properties=species:S:1:pos:R:3 pbc="T T T"
Hf 1.4989 0.0000 0.4937
Hf 0.7594 2.3740 2.7512
Hf 2.6393 0.0000 3.3656
Hf 3.4840 2.3740 1.1467
Hf 5.3639 0.0000 1.7611
Hf 4.6244 2.3740 4.0186
Hf 8.3608 0.0000 2.7512
Hf 9.1003 2.3740 0.4937
Hf 10.2407 2.3740 3.3656
Hf 11.0854 0.0000 1.1467
Hf 12.2258 0.0000 4.0186
Hf 12.9653 2.3740 1.7611
Nb -0.7390 0.0000 2.2561
Nb 6.8624 2.3740 2.2561
Os 0.0000 2.3740 0.0000
Os 7.6014 0.0000 0.0000
```

=====

[10]
Structure and computed X-ray diffraction stick pattern of HfTaNbOs (a PBE-relaxed structure; λ = 1.5418 Å (Cu Kα)).

Peak list (10 most intense, 10° ≤ 2θ ≤ 90°, in order of rising 2θ)
two_theta  intensity
13.0  10.6
38.4  100.0
39.4  47.5
49.1  3.6
54.0  9.0
56.9  16.4
68.9  17.3
70.7  33.6
82.3  10.8
84.7  5.4

Atomic structure:
```
4
Lattice="3.2381 0.0000 0.0000 0.0000 3.2381 0.0000 0.0000 0.0000 6.7869" Properties=species:S:1:pos:R:3 pbc="T T T"
Hf 0.0000 0.0000 0.0000
Ta 0.0000 0.0000 3.5402
Nb 1.6190 1.6190 1.8148
Os 1.6190 1.6190 5.0998
```

=====

[11]
Structure and computed X-ray diffraction stick pattern of HfSc2NbPb (a PBE-relaxed structure; λ = 1.5418 Å (Cu Kα)).

Peak list (10 most intense, 10° ≤ 2θ ≤ 90°, in order of rising 2θ)
two_theta  intensity
17.7  100.0
25.2  82.6
30.1  33.4
32.9  45.7
35.9  72.0
37.6  32.5
40.4  26.9
41.9  44.7
49.5  57.5
62.7  28.2

Atomic structure:
```
5
Lattice="4.9978 0.0000 0.0000 0.0000 4.9978 0.0000 0.0000 0.0000 5.4440" Properties=species:S:1:pos:R:3 pbc="T T T"
Hf 0.0000 0.0000 0.0000
Sc 0.0000 2.4989 0.0000
Sc 2.4989 0.0000 0.0000
Nb 2.4989 2.4989 2.7220
Pb 0.0000 0.0000 2.7220
```

=====

[12]
Structure and computed X-ray diffraction stick pattern of Hf6NbPd (a PBE-relaxed structure; λ = 1.5418 Å (Cu Kα)).

Peak list (10 most intense, 10° ≤ 2θ ≤ 90°, in order of rising 2θ)
two_theta  intensity
29.3  7.6
36.3  100.0
37.9  47.4
49.9  8.4
54.7  16.5
64.3  15.7
67.4  33.1
77.1  9.3
81.0  5.3
84.6  5.3

Atomic structure:
```
16
Lattice="4.7486 0.0000 0.0000 0.0000 4.7486 0.0000 0.0000 0.0000 14.6294" Properties=species:S:1:pos:R:3 pbc="T T T"
Hf 0.0000 0.0000 3.5611
Hf 0.0000 0.0000 11.0683
Hf 0.0000 2.3743 1.6479
Hf 0.0000 2.3743 5.6668
Hf 0.0000 2.3743 8.9626
Hf 0.0000 2.3743 12.9815
Hf 2.3743 0.0000 1.6479
Hf 2.3743 0.0000 5.6668
Hf 2.3743 0.0000 8.9626
Hf 2.3743 0.0000 12.9815
Hf 2.3743 2.3743 3.7536
Hf 2.3743 2.3743 10.8758
Nb 0.0000 0.0000 0.0000
Nb 2.3743 2.3743 7.3147
Pd 0.0000 0.0000 7.3147
Pd 2.3743 2.3743 0.0000
```